# RbCrMoO6
Computed powder XRD pattern, CuKα. Input: a crystal structure in Alexandria, relaxed with GGA+U.

Main lines, in order of falling intensity (2θ from 10° to 80°):
24.73 deg, I 100.0, (1 -1 1)
24.54 deg, I 98.3, (0 1 1)
14.03 deg, I 75.9, (0 0 1)
23.69 deg, I 72.8, (1 0 -1)
46.13 deg, I 49.7, (-1 2 2)
23.59 deg, I 29.0, (0 1 -1)
28.27 deg, I 28.6, (0 0 2)
33.62 deg, I 27.7, (1 1 0)
35.11 deg, I 26.2, (2 -1 0)
61.15 deg, I 26.1, (3 0 0)
43.42 deg, I 25.9, (1 1 -2)
34.98 deg, I 25.6, (1 -2 0)

Structure:
```
RbCrMoO6
1.0
5.117 0.000 0.000
-2.355 4.567 0.000
-0.134 -0.255 6.314
Rb Cr Mo O
1 1 1 6
Cartesian
0.000 0.000 0.000 Rb
0.041 2.983 2.835 Cr
2.502 1.334 3.351 Mo
-1.419 2.655 2.036 O
-0.511 4.379 4.152 O
1.158 1.837 1.930 O
1.457 2.607 4.211 O
0.671 4.435 1.996 O
4.096 1.578 4.181 O
```